# 1
Diffraction record for Er2ThPd7. The XRD peak list is computed, not measured: it uses a structure optimized by DFT (GGA-PBE) and CuKα.
Peak positions follow from Bragg's law for the DFT cell and can differ from measured ones.

Peak list (12 most intense, 2θ = 10–80°, most intense first)
2θ 37.79, I = 100, hkl 2 2 0; 2θ 38.38, I = 94, hkl 0 2 6; 2θ 24.43, I = 70, hkl 1 1 3; 2θ 44.79, I = 61, hkl 2 0 6; 2θ 63.98, I = 42, hkl 2 4 6; 2θ 43.19, I = 34, hkl 0 4 0; 2θ 77.54, I = 24, hkl 4 2 6; 2θ 78.64, I = 22, hkl 2 2 12; 2θ 39.19, I = 21, hkl 1 3 3; 2θ 75.62, I = 13, hkl 2 6 0; 2θ 75.99, I = 13, hkl 0 6 6; 2θ 64.42, I = 10, hkl 4 0 0

Structure:
Unit cell a=5.785 b=8.378 c=16.986 alpha=90.00 beta=90.00 gamma=90.00
Space group Fmmm (No. 69)
One atom of each set of equivalent atoms:
Er 0.000 0.000 0.173 x8
Th 0.000 0.000 0.500 x4
Pd 0.000 0.000 0.000 x4
Pd 0.250 0.250 0.086 x16
Pd 0.250 0.250 0.250 x8

=====

# 2
Diffraction record for Al2CdH4. The XRD peak list is computed, not measured: it uses a structure optimized by DFT (GGA-PBE) and CuKα.
Peak positions follow from Bragg's law for the DFT cell and can differ from measured ones.

Peak list (12 most intense, 2θ = 10–80°, most intense first)
2θ 25.33, I = 100, hkl 1 0 1; 2θ 20.26, I = 62, hkl 0 0 4; 2θ 35.80, I = 61, hkl 1 0 5; 2θ 10.09, I = 50, hkl 0 0 2; 2θ 41.11, I = 42, hkl 1 1 4; 2θ 35.37, I = 36, hkl 1 1 0; 2θ 29.20, I = 28, hkl 1 0 3; 2θ 55.35, I = 24, hkl 2 0 4; 2θ 63.77, I = 22, hkl 2 1 5; 2θ 53.52, I = 21, hkl 1 0 9; 2θ 57.68, I = 19, hkl 2 1 1; 2θ 76.97, I = 14, hkl 2 1 9

Structure:
Unit cell a=3.589 b=3.589 c=17.534 alpha=90.00 beta=90.00 gamma=90.00
Space group I4/mmm (No. 139)
One atom of each set of equivalent atoms:
Al 0.000 0.000 0.218 x4
Cd 0.000 0.000 0.000 x2
H 0.000 0.000 0.126 x4
H 0.000 0.500 0.000 x4

=====

# 3
Diffraction record for Ac2Sn3O10. The XRD peak list is computed, not measured: it uses a structure optimized by DFT (GGA-PBE) and CuKα.
Peak positions follow from Bragg's law for the DFT cell and can differ from measured ones.

Peak list (12 most intense, 2θ = 10–80°, most intense first)
2θ 28.75, I = 100, hkl 6 0 -1; 2θ 26.94, I = 93, hkl 3 1 1; 2θ 27.61, I = 83, hkl 3 1 -2; 2θ 41.10, I = 41, hkl 6 2 -1; 2θ 27.05, I = 40, hkl 1 1 -2; 2θ 49.85, I = 31, hkl 3 3 1; 2θ 59.53, I = 23, hkl 0 4 0; 2θ 55.31, I = 23, hkl 4 2 -4; 2θ 36.72, I = 21, hkl 0 0 3; 2θ 67.43, I = 20, hkl 6 4 -1; 2θ 49.43, I = 19, hkl 9 1 0; 2θ 51.52, I = 18, hkl 2 2 3

Structure:
Unit cell a=18.642 b=6.213 c=7.879 alpha=90.00 beta=111.23 gamma=90.00
Space group C2/m (No. 12)
One atom of each set of equivalent atoms:
Ac 0.108 0.000 0.208 x4
Ac 0.213 0.000 0.813 x4
Sn 0.000 0.241 0.500 x4
Sn 0.077 0.500 0.956 x4
Sn 0.174 0.500 0.510 x4
O 0.000 0.274 0.000 x4
O 0.016 0.000 0.693 x4
O 0.020 0.500 0.680 x4
O 0.114 0.231 0.527 x8
O 0.146 0.500 0.235 x4
O 0.155 0.256 0.971 x8
O 0.249 0.000 0.226 x4
O 0.250 0.250 0.500 x4

=====

# 4
Diffraction record for Th5Nb. The XRD peak list is computed, not measured: it uses a structure optimized by DFT (GGA-PBE) and CuKα.
Peak positions follow from Bragg's law for the DFT cell and can differ from measured ones.

Peak list (12 most intense, 2θ = 10–80°, most intense first)
2θ 31.60, I = 100, hkl 1 3 1; 2θ 36.09, I = 18, hkl 2 0 0; 2θ 36.84, I = 17, hkl 0 0 2; 2θ 37.02, I = 16, hkl 0 6 0; 2θ 62.10, I = 15, hkl 3 3 1; 2θ 63.11, I = 14, hkl 1 3 3; 2θ 63.34, I = 13, hkl 1 9 1; 2θ 52.52, I = 12, hkl 2 0 2; 2θ 65.99, I = 12, hkl 2 6 2; 2θ 52.66, I = 12, hkl 2 6 0; 2θ 53.22, I = 12, hkl 0 6 2; 2θ 26.30, I = 2, hkl 1 1 1

Structure:
Unit cell a=4.978 b=14.571 c=4.879 alpha=90.00 beta=90.00 gamma=90.00
Space group Cmmm (No. 65)
One atom of each set of equivalent atoms:
Th 0.000 0.000 0.000 x2
Th 0.000 0.164 0.500 x4
Th 0.000 0.341 0.000 x4
Nb 0.000 0.500 0.500 x2

=====

Q: Number 2 is which compound?
A: Al2CdH4